Entry 1:
This entry pairs a crystal structure of TlNiH3 with its calculated powder diffraction line list. Radiation: Cu Kα, 1.54184 Å. Structure: a GGA-PBE-relaxed structure.
Peak positions follow from Bragg's law for the DFT cell and can differ from measured ones.

Unit cell a=3.653 b=3.653 c=3.653 alpha=90.00 beta=90.00 gamma=90.00
Sites, in units of the cell vectors:
Tl1 0.000 0.000 0.000
Ni1 0.500 0.500 0.500
H1 0.000 0.500 0.500
H2 0.500 0.000 0.500
H3 0.500 0.500 0.000

The 10 most intense peaks (10 to 90 degrees two-theta), by angle:
24.37 deg, rel. 302
34.73 deg, rel. 1000
42.88 deg, rel. 104
49.94 deg, rel. 185
56.32 deg, rel. 138
62.26 deg, rel. 370
73.31 deg, rel. 116
78.57 deg, rel. 70
83.74 deg, rel. 162
88.86 deg, rel. 45

Entry 2:
This entry pairs a crystal structure of Tm12Ni6H with its calculated powder diffraction line list. Radiation: Cu Kα, 1.54184 Å. Structure: a GGA-PBE-relaxed structure.
Peak positions follow from Bragg's law for the DFT cell and can differ from measured ones.

Unit cell a=7.666 b=7.666 c=7.666 alpha=96.80 beta=96.80 gamma=96.80
Sites, in units of the cell vectors:
Tm1 0.037 0.911 0.683
Tm2 0.089 0.317 0.963
Tm3 0.189 0.563 0.412
Tm4 0.317 0.963 0.089
Tm5 0.412 0.189 0.563
Tm6 0.437 0.588 0.811
Tm7 0.563 0.412 0.189
Tm8 0.588 0.811 0.437
Tm9 0.683 0.037 0.911
Tm10 0.811 0.437 0.588
Tm11 0.911 0.683 0.037
Tm12 0.963 0.089 0.317
Ni1 0.111 0.289 0.623
Ni2 0.289 0.623 0.111
Ni3 0.377 0.889 0.711
Ni4 0.623 0.111 0.289
Ni5 0.711 0.377 0.889
Ni6 0.889 0.711 0.377
H1 0.000 0.000 0.000

The 12 most intense peaks (10 to 90 degrees two-theta), by angle:
26.94 deg, rel. 169
28.32 deg, rel. 1000
31.20 deg, rel. 272
32.16 deg, rel. 502
36.10 deg, rel. 667
39.26 deg, rel. 467
41.68 deg, rel. 414
42.64 deg, rel. 171
56.13 deg, rel. 153
57.50 deg, rel. 279
58.76 deg, rel. 184
60.99 deg, rel. 180

Entry 3:
This entry pairs a crystal structure of TmNi3H3 with its calculated powder diffraction line list. Radiation: Cu Kα, 1.54184 Å. Structure: a GGA-PBE-relaxed structure.
Peak positions follow from Bragg's law for the DFT cell and can differ from measured ones.

Unit cell a=5.988 b=5.988 c=5.988 alpha=60.00 beta=60.00 gamma=60.00
Sites, in units of the cell vectors:
Tm1 0.250 0.250 0.250
Tm2 0.750 0.750 0.750
Ni1 0.199 0.199 0.801
Ni2 0.199 0.801 0.199
Ni3 0.199 0.801 0.801
Ni4 0.801 0.199 0.199
Ni5 0.801 0.199 0.801
Ni6 0.801 0.801 0.199
H1 0.371 0.371 0.629
H2 0.371 0.629 0.371
H3 0.371 0.629 0.629
H4 0.629 0.371 0.371
H5 0.629 0.371 0.629
H6 0.629 0.629 0.371

The 12 most intense peaks (10 to 90 degrees two-theta), by angle:
18.15 deg, rel. 195
20.98 deg, rel. 207
29.84 deg, rel. 418
36.77 deg, rel. 1000
42.71 deg, rel. 469
48.05 deg, rel. 254
56.47 deg, rel. 150
62.00 deg, rel. 217
66.22 deg, rel. 176
70.31 deg, rel. 178
74.30 deg, rel. 217
85.89 deg, rel. 130

Which formula does entry 1 have? TlNiH3

Which formula does entry 1 have? TlNiH3